Computed XRD peak list
Compound: Te3MoWSe
Radiation: CuKα
Structure: the GGA-PBE geometry in the Materials Project
Kinematic intensities with the Lorentz-polarization factor, no thermal factor.

Peak list (8 most intense, 2θ from 15° to 90°, by intensity)
2θ 34.50, intensity 100, (1 0 8)
2θ 41.54, intensity 75, (1 0 13)
2θ 29.53, intensity 56, (1 0 0)
2θ 52.37, intensity 44, (1 1 0)
2θ 43.20, intensity 26, (0 1 14)
2θ 72.97, intensity 19, (1 1 21)
2θ 68.95, intensity 17, (0 2 13)
2θ 64.22, intensity 16, (0 2 8)

Cell and atoms:
abc: 3.4950 3.4950 40.6091
angles: 90.00 90.00 120.00
Fractional positions:
Te: 0.0000 0.0000 0.0000
Te: 0.0000 0.0000 0.0903
Te: 0.0000 0.0000 0.3755
Te: 0.0000 0.0000 0.4662
Te: 0.6667 0.3333 0.1878
Te: 0.6667 0.3333 0.2782
Mo: 0.0000 0.0000 0.2330
Mo: 0.6667 0.3333 0.0451
W: 0.0000 0.0000 0.6087
W: 0.6667 0.3333 0.4209
Se: 0.6667 0.3333 0.5687
Se: 0.6667 0.3333 0.6487

***

Computed XRD peak list
Compound: Te2MoWSe2
Radiation: CuKα
Structure: the GGA-PBE geometry in the Materials Project
Kinematic intensities with the Lorentz-polarization factor, no thermal factor.

Peak list (8 most intense, 2θ from 15° to 90°, by intensity)
2θ 35.29, intensity 100, (1 0 8)
2θ 42.73, intensity 62, (0 1 13)
2θ 30.02, intensity 49, (1 0 0)
2θ 53.29, intensity 36, (1 1 0)
2θ 44.47, intensity 18, (1 0 14)
2θ 75.22, intensity 17, (1 1 21)
2θ 37.98, intensity 17, (0 1 10)
2θ 65.53, intensity 16, (0 2 8)

Cell and atoms:
abc: 3.4387 3.4387 39.1056
angles: 90.00 90.00 120.00
Fractional positions:
Te: 0.0000 0.0000 0.0000
Te: 0.0000 0.0000 0.0948
Te: 0.0000 0.0000 0.3754
Te: 0.0000 0.0000 0.4709
Mo: 0.0000 0.0000 0.2353
Mo: 0.3333 0.6667 0.0474
W: 0.0000 0.0000 0.8595
W: 0.3333 0.6667 0.4232
Se: 0.3333 0.6667 0.1934
Se: 0.3333 0.6667 0.2771
Se: 0.3333 0.6667 0.8176
Se: 0.3333 0.6667 0.9015

***

Computed XRD peak list
Compound: Te4MoW3Se4
Radiation: CuKα
Structure: the GGA-PBE geometry in the Materials Project
Kinematic intensities with the Lorentz-polarization factor, no thermal factor.

Peak list (8 most intense, 2θ from 15° to 90°, by intensity)
2θ 35.27, intensity 100, (1 0 8)
2θ 42.69, intensity 62, (0 1 13)
2θ 30.00, intensity 46, (1 0 0)
2θ 53.26, intensity 35, (1 1 0)
2θ 37.95, intensity 20, (0 1 10)
2θ 44.43, intensity 20, (1 0 14)
2θ 32.15, intensity 17, (1 0 5)
2θ 75.14, intensity 17, (1 1 21)

Cell and atoms:
abc: 3.4401 3.4401 39.1602
angles: 90.00 90.00 120.00
Fractional positions:
Te: 0.0000 0.0000 0.0000
Te: 0.0000 0.0000 0.0952
Te: 0.3333 0.6667 0.4364
Te: 0.3333 0.6667 0.5317
Mo: 0.3333 0.6667 0.6719
W: 0.0000 0.0000 0.4840
W: 0.0000 0.0000 0.8597
W: 0.3333 0.6667 0.0476
Se: 0.0000 0.0000 0.6301
Se: 0.0000 0.0000 0.7137
Se: 0.3333 0.6667 0.8178
Se: 0.3333 0.6667 0.9016

***

Computed XRD peak list
Compound: TeMoWSe3
Radiation: CuKα
Structure: the GGA-PBE geometry in the Materials Project
Kinematic intensities with the Lorentz-polarization factor, no thermal factor.

Peak list (8 most intense, 2θ from 15° to 90°, by intensity)
2θ 35.92, intensity 100, (1 0 8)
2θ 43.48, intensity 64, (1 0 13)
2θ 30.56, intensity 57, (1 0 0)
2θ 54.30, intensity 39, (1 1 0)
2θ 45.25, intensity 20, (1 0 14)
2θ 32.74, intensity 17, (1 0 5)
2θ 76.71, intensity 17, (1 1 21)
2θ 66.82, intensity 16, (0 2 8)

Cell and atoms:
abc: 3.3793 3.3793 38.4926
angles: 90.00 90.00 120.00
Fractional positions:
Te: 0.0000 0.0000 0.0000
Te: 0.0000 0.0000 0.0977
Mo: 0.6667 0.3333 0.0489
Mo: 0.6667 0.3333 0.6731
W: 0.0000 0.0000 0.2367
W: 0.0000 0.0000 0.8610
Se: 0.0000 0.0000 0.6301
Se: 0.0000 0.0000 0.7161
Se: 0.6667 0.3333 0.1935
Se: 0.6667 0.3333 0.2799
Se: 0.6667 0.3333 0.8178
Se: 0.6667 0.3333 0.9042

***

Computed XRD peak list
Compound: TeMoWSe3
Radiation: CuKα
Structure: the GGA-PBE geometry in the Materials Project
Kinematic intensities with the Lorentz-polarization factor, no thermal factor.

Peak list (8 most intense, 2θ from 15° to 90°, by intensity)
2θ 35.92, intensity 100, (0 1 8)
2θ 43.49, intensity 65, (1 0 13)
2θ 30.57, intensity 58, (1 0 0)
2θ 54.30, intensity 40, (1 1 0)
2θ 45.26, intensity 25, (0 1 14)
2θ 76.73, intensity 18, (1 1 21)
2θ 32.74, intensity 16, (1 0 5)
2θ 66.83, intensity 16, (2 0 8)

Cell and atoms:
abc: 3.3793 3.3793 38.4743
angles: 90.00 90.00 120.00
Fractional positions:
Te: 0.0000 0.0000 0.0000
Te: 0.0000 0.0000 0.0977
Mo: 0.0000 0.0000 0.4852
Mo: 0.3333 0.6667 0.0489
W: 0.0000 0.0000 0.8610
W: 0.3333 0.6667 0.6731
Se: 0.0000 0.0000 0.6299
Se: 0.0000 0.0000 0.7163
Se: 0.3333 0.6667 0.4422
Se: 0.3333 0.6667 0.5283
Se: 0.3333 0.6667 0.8178
Se: 0.3333 0.6667 0.9042

***

Computed XRD peak list
Compound: TeMoWSe3
Radiation: CuKα
Structure: the GGA-PBE geometry in the Materials Project
Kinematic intensities with the Lorentz-polarization factor, no thermal factor.

Peak list (8 most intense, 2θ from 15° to 90°, by intensity)
2θ 35.89, intensity 100, (1 0 8)
2θ 43.46, intensity 64, (1 0 13)
2θ 30.53, intensity 52, (1 0 0)
2θ 54.23, intensity 38, (1 1 0)
2θ 45.24, intensity 22, (1 0 14)
2θ 76.66, intensity 18, (1 1 21)
2θ 32.70, intensity 16, (1 0 5)
2θ 66.74, intensity 16, (2 0 8)

Cell and atoms:
abc: 3.3835 3.3835 38.4744
angles: 90.00 90.00 120.00
Fractional positions:
Te: 0.0000 0.0000 0.0000
Te: 0.0000 0.0000 0.0982
Mo: 0.0000 0.0000 0.4855
Mo: 0.3333 0.6667 0.6734
W: 0.0000 0.0000 0.8612
W: 0.3333 0.6667 0.0491
Se: 0.0000 0.0000 0.6303
Se: 0.0000 0.0000 0.7164
Se: 0.3333 0.6667 0.4425
Se: 0.3333 0.6667 0.5285
Se: 0.3333 0.6667 0.8181
Se: 0.3333 0.6667 0.9044

***

Copy entry 2 word for word.
Computed XRD peak list
Compound: Te2MoWSe2
Radiation: CuKα
Structure: the GGA-PBE geometry in the Materials Project
Kinematic intensities with the Lorentz-polarization factor, no thermal factor.

Peak list (8 most intense, 2θ from 15° to 90°, by intensity)
2θ 35.29, intensity 100, (1 0 8)
2θ 42.73, intensity 62, (0 1 13)
2θ 30.02, intensity 49, (1 0 0)
2θ 53.29, intensity 36, (1 1 0)
2θ 44.47, intensity 18, (1 0 14)
2θ 75.22, intensity 17, (1 1 21)
2θ 37.98, intensity 17, (0 1 10)
2θ 65.53, intensity 16, (0 2 8)

Cell and atoms:
abc: 3.4387 3.4387 39.1056
angles: 90.00 90.00 120.00
Fractional positions:
Te: 0.0000 0.0000 0.0000
Te: 0.0000 0.0000 0.0948
Te: 0.0000 0.0000 0.3754
Te: 0.0000 0.0000 0.4709
Mo: 0.0000 0.0000 0.2353
Mo: 0.3333 0.6667 0.0474
W: 0.0000 0.0000 0.8595
W: 0.3333 0.6667 0.4232
Se: 0.3333 0.6667 0.1934
Se: 0.3333 0.6667 0.2771
Se: 0.3333 0.6667 0.8176
Se: 0.3333 0.6667 0.9015